Entry 1:
The following is a calculated powder XRD pattern of Tl6Au. It was derived from a GGA-PBE-relaxed structure, using Cu Kα.
Kinematic intensities with the Lorentz-polarization factor, no thermal factor.

Cell and atoms:
```
data_Tl6Au
_cell_length_a 8.6336
_cell_length_b 8.6336
_cell_length_c 3.5452
_cell_angle_alpha 90.00
_cell_angle_beta 90.00
_cell_angle_gamma 120.00
_space_group_name_H-M_alt 'P 1'
_space_group_IT_number 1
_space_group_name_Hall 'P 1'
loop_
_atom_site_label
_atom_site_type_symbol
_atom_site_fract_x
_atom_site_fract_y
_atom_site_fract_z
_atom_site_occupancy
Tl1 Tl 0.0000 0.3347 0.2382 1
Tl2 Tl 0.0000 0.6653 0.7618 1
Tl3 Tl 0.3347 0.0000 0.2382 1
Tl4 Tl 0.3347 0.3347 0.7618 1
Tl5 Tl 0.6653 0.0000 0.7618 1
Tl6 Tl 0.6653 0.6653 0.2382 1
Au1 Au 0.0000 0.0000 0.5000 1
```

Top 10 peaks for 2θ = 15–90°, in order of rising 2θ:
20.57 deg, rel. 22
32.69 deg, rel. 100
36.04 deg, rel. 67
49.44 deg, rel. 32
56.09 deg, rel. 13
62.68 deg, rel. 32
64.51 deg, rel. 13
64.79 deg, rel. 12
79.91 deg, rel. 9
85.63 deg, rel. 14

Entry 2:
The following is a calculated powder XRD pattern of Er5Te5S2. It was derived from a GGA-PBE-relaxed structure, using Cu Kα.
Kinematic intensities with the Lorentz-polarization factor, no thermal factor.

Cell and atoms:
```
data_Er5Te5S2
_cell_length_a 7.2534
_cell_length_b 7.2534
_cell_length_c 12.3686
_cell_angle_alpha 105.04
_cell_angle_beta 105.04
_cell_angle_gamma 33.18
_space_group_name_H-M_alt 'P 1'
_space_group_IT_number 1
_space_group_name_Hall 'P 1'
loop_
_atom_site_label
_atom_site_type_symbol
_atom_site_fract_x
_atom_site_fract_y
_atom_site_fract_z
_atom_site_occupancy
Er1 Er 0.0000 0.0000 0.0000 1
Er2 Er 0.1051 0.1051 0.3979 1
Er3 Er 0.3247 0.3247 0.1979 1
Er4 Er 0.6753 0.6753 0.8021 1
Er5 Er 0.8949 0.8949 0.6021 1
Te1 Te 0.2478 0.2478 0.6434 1
Te2 Te 0.3353 0.3353 0.9458 1
Te3 Te 0.5000 0.5000 0.5000 1
Te4 Te 0.6647 0.6647 0.0542 1
Te5 Te 0.7522 0.7522 0.3566 1
S1 S 0.0400 0.0400 0.7940 1
S2 S 0.9600 0.9600 0.2060 1
```

Top 10 peaks for 2θ = 15–90°, in order of rising 2θ:
22.52 deg, rel. 46
22.74 deg, rel. 26
28.99 deg, rel. 100
29.10 deg, rel. 26
29.39 deg, rel. 48
30.49 deg, rel. 40
33.23 deg, rel. 27
36.29 deg, rel. 44
42.59 deg, rel. 21
43.68 deg, rel. 55

Entry 3:
The following is a calculated powder XRD pattern of Tb7Pm3Nd2. It was derived from a GGA-PBE-relaxed structure, using Cu Kα.
Kinematic intensities with the Lorentz-polarization factor, no thermal factor.

Cell and atoms:
```
data_Tb7Pm3Nd2
_cell_length_a 5.8769
_cell_length_b 3.6060
_cell_length_c 18.9707
_cell_angle_alpha 90.00
_cell_angle_beta 93.22
_cell_angle_gamma 90.00
_space_group_name_H-M_alt 'P 1'
_space_group_IT_number 1
_space_group_name_Hall 'P 1'
loop_
_atom_site_label
_atom_site_type_symbol
_atom_site_fract_x
_atom_site_fract_y
_atom_site_fract_z
_atom_site_occupancy
Tb1 Tb 0.0000 0.0000 0.0000 1
Tb2 Tb 0.1887 0.5000 0.1733 1
Tb3 Tb 0.2573 0.5000 0.5376 1
Tb4 Tb 0.3130 0.0000 0.8576 1
Tb5 Tb 0.6870 0.0000 0.1424 1
Tb6 Tb 0.7427 0.5000 0.4624 1
Tb7 Tb 0.8113 0.5000 0.8267 1
Pm1 Pm 0.2220 0.0000 0.3684 1
Pm2 Pm 0.5000 0.5000 0.0000 1
Pm3 Pm 0.7780 0.0000 0.6316 1
Nd1 Nd 0.2901 0.5000 0.7068 1
Nd2 Nd 0.7099 0.5000 0.2932 1
```

Top 10 peaks for 2θ = 15–90°, in order of rising 2θ:
28.27 deg, rel. 27
30.32 deg, rel. 29
30.47 deg, rel. 24
30.57 deg, rel. 36
30.86 deg, rel. 100
31.18 deg, rel. 28
31.41 deg, rel. 44
32.96 deg, rel. 33
34.33 deg, rel. 31
53.75 deg, rel. 30

Entry 4:
The following is a calculated powder XRD pattern of AcCd2I6. It was derived from a GGA-PBE-relaxed structure, using Cu Kα.
Kinematic intensities with the Lorentz-polarization factor, no thermal factor.

Cell and atoms:
```
data_AcCd2I6
_cell_length_a 9.3790
_cell_length_b 9.3790
_cell_length_c 9.3790
_cell_angle_alpha 51.52
_cell_angle_beta 51.52
_cell_angle_gamma 51.52
_space_group_name_H-M_alt 'P 1'
_space_group_IT_number 1
_space_group_name_Hall 'P 1'
loop_
_atom_site_label
_atom_site_type_symbol
_atom_site_fract_x
_atom_site_fract_y
_atom_site_fract_z
_atom_site_occupancy
Ac1 Ac 0.0000 0.0000 0.0000 1
Cd1 Cd 0.2745 0.2745 0.2745 1
Cd2 Cd 0.3918 0.3918 0.3918 1
I1 I 0.0890 0.3982 0.7712 1
I2 I 0.2270 0.9161 0.5992 1
I3 I 0.3982 0.7712 0.0890 1
I4 I 0.5992 0.2270 0.9161 1
I5 I 0.7712 0.0890 0.3982 1
I6 I 0.9161 0.5992 0.2270 1
```

Top 10 peaks for 2θ = 15–90°, in order of rising 2θ:
21.91 deg, rel. 19
24.44 deg, rel. 100
31.11 deg, rel. 21
38.25 deg, rel. 40
39.12 deg, rel. 9
40.01 deg, rel. 21
44.51 deg, rel. 15
45.91 deg, rel. 17
60.24 deg, rel. 14
61.24 deg, rel. 13